This entry pairs a crystal structure of HfP2H6O10 with its theoretical powder XRD pattern. Radiation: copper Kα. Structure: a crystal structure in Alexandria, relaxed with PBE.
Intensities are scaled so that the largest is 100.

```
data_HfP2H6O10
_chemical_formula_sum 'Hf2 P4 H12 O20'
_space_group_name_H-M_alt 'P 1 21 1'
_space_group_IT_number 4
_space_group_name_Hall 'P 2yb'
_cell_length_a 5.421
_cell_length_b 6.640
_cell_length_c 12.708
_cell_angle_alpha 90.00
_cell_angle_beta 102.18
_cell_angle_gamma 90.00
loop_
_atom_site_label
_atom_site_fract_x
_atom_site_fract_y
_atom_site_fract_z
Hf1 0.180 0.000 0.375
P1 0.237 0.500 0.443
P2 0.393 0.590 0.797
H1 0.028 0.570 0.903
H2 0.065 0.632 0.025
H3 0.089 0.398 0.130
H4 0.149 0.569 0.220
H5 0.331 0.068 0.055
H6 0.467 0.406 0.191
O1 0.045 0.152 0.047
O2 0.070 0.504 0.528
O3 0.123 0.508 0.764
O4 0.180 0.685 0.368
O5 0.181 0.310 0.373
O6 0.193 0.518 0.153
O7 0.370 0.826 0.788
O8 0.422 0.008 0.267
O9 0.483 0.001 0.499
O10 0.485 0.528 0.919
```

The 10 most intense peaks (2θ from 15° to 90°), by intensity:
2θ (°)  I_rel  hkl
19.57  100  1 0 1
15.13  90  0 1 1
24.30  82  1 0 -3
33.04  54  2 0 -1
26.85  39  0 2 0
27.82  36  0 2 1
36.53  30  1 2 -3
21.46  29  1 1 -1
33.45  28  1 2 1
52.63  19  2 2 -5